# 1
Theoretical X-ray diffraction stick pattern
Compound: Li5Mn3O8
Radiation: a wavelength of 1.5418 Å
Structure: a structure optimized by DFT (GGA+U)
Intensities are scaled so that the largest is 100.

Atomic structure:
Unit cell a=4.998 b=5.926 c=5.091 alpha=90.00 beta=108.69 gamma=90.00
Space group P2/m (No. 10)
Asymmetric unit:
1 Li 0.000 0.000 0.000
2 Li 0.000 0.237 0.500
3 Li 0.500 0.000 0.500
4 Li 0.500 0.500 0.500
5 Mn 0.000 0.500 0.000
6 Mn 0.500 0.243 0.000
7 O 0.245 0.270 0.216
8 O 0.249 0.500 0.776
9 O 0.274 0.000 0.761

Largest 10 diffraction maxima, by angle, 10° ≤ 2θ ≤ 90°:
2θ 14.9, d = 5.926 Å, I 15.0, (0 1 0); 2θ 18.4, d = 4.822 Å, I 100.0, (0 0 1); 2θ 24.1, d = 3.699 Å, I 12.5, (1 1 0); 2θ 26.4, d = 3.371 Å, I 11.4, (1 1 -1); 2θ 35.7, d = 2.512 Å, I 24.4, (1 2 0); 2θ 36.5, d = 2.460 Å, I 11.3, (2 0 -1); 2θ 43.4, d = 2.087 Å, I 63.9, (1 2 1); 2θ 44.2, d = 2.049 Å, I 29.8, (2 0 -2); 2θ 63.1, d = 1.472 Å, I 16.0, (1 2 -3); 2θ 64.1, d = 1.452 Å, I 16.2, (3 2 -1)

***

# 2
Theoretical X-ray diffraction stick pattern
Compound: CrH14N4Cl3O
Radiation: a wavelength of 1.5418 Å
Structure: a structure optimized by DFT (GGA+U)
Intensities are scaled so that the largest is 100.

Atomic structure:
Unit cell a=6.835 b=10.752 c=6.858 alpha=90.00 beta=98.14 gamma=90.00
Space group P2_1/m (No. 11)
Asymmetric unit:
1 Cr 0.226 0.250 0.164
2 H 0.016 0.673 0.587
3 H 0.091 0.022 0.209
4 H 0.179 0.250 0.525
5 H 0.236 0.017 0.036
6 H 0.334 0.019 0.271
7 H 0.381 0.173 0.849
8 H 0.442 0.675 0.629
9 H 0.442 0.750 0.010
10 N 0.071 0.250 0.405
11 N 0.222 0.054 0.171
12 N 0.409 0.250 0.938
13 Cl 0.056 0.750 0.070
14 Cl 0.283 0.520 0.685
15 O 0.472 0.250 0.377

Largest 10 diffraction maxima, by angle, 10° ≤ 2θ ≤ 90°:
2θ 15.5, d = 5.734 Å, I 100.0, (0 1 1); 2θ 21.1, d = 4.213 Å, I 28.6, (0 2 1); 2θ 23.9, d = 3.727 Å, I 45.7, (1 2 -1); 2θ 25.9, d = 3.444 Å, I 20.9, (1 2 1); 2θ 27.7, d = 3.221 Å, I 35.1, (1 0 -2); 2θ 31.1, d = 2.872 Å, I 28.9, (1 0 2); 2θ 31.2, d = 2.863 Å, I 19.9, (2 2 0); 2θ 33.3, d = 2.688 Å, I 38.3, (0 4 0); 2θ 41.1, d = 2.196 Å, I 17.2, (2 1 2); 2θ 48.2, d = 1.889 Å, I 16.6, (2 2 -3)

***

# 3
Theoretical X-ray diffraction stick pattern
Compound: MgV12Zn6O24
Radiation: a wavelength of 1.5418 Å
Structure: a structure optimized by DFT (GGA+U)
Intensities are scaled so that the largest is 100.

Atomic structure:
Unit cell a=6.047 b=6.057 c=15.291 alpha=89.23 beta=89.18 gamma=60.10
Space group P1 (No. 1)
Asymmetric unit:
1 Mg 0.000 0.000 0.000
2 V 0.000 0.499 0.000
3 V 0.169 0.167 0.338
4 V 0.169 0.663 0.338
5 V 0.332 0.330 0.542
6 V 0.338 0.337 0.167
7 V 0.339 0.826 0.661
8 V 0.500 0.498 0.002
9 V 0.501 0.999 0.000
10 V 0.665 0.167 0.338
11 V 0.666 0.663 0.833
12 V 0.827 0.336 0.661
13 V 0.829 0.825 0.663
14 Zn 0.001 0.998 0.153
15 Zn 0.006 0.000 0.846
16 Zn 0.331 0.330 0.790
17 Zn 0.665 0.663 0.455
18 Zn 0.670 0.668 0.211
19 Zn 0.998 0.997 0.498
20 O 0.003 0.000 0.272
21 O 0.033 0.487 0.257
22 O 0.152 0.159 0.586
23 O 0.160 0.663 0.078
24 O 0.162 0.678 0.588
25 O 0.167 0.166 0.078
26 O 0.312 0.842 0.410
27 O 0.329 0.327 0.928
28 O 0.332 0.331 0.414
29 O 0.335 0.837 0.924
30 O 0.488 0.031 0.256
31 O 0.489 0.487 0.257
32 O 0.503 0.971 0.741
33 O 0.518 0.502 0.742
34 O 0.664 0.159 0.078
35 O 0.666 0.661 0.589
36 O 0.672 0.672 0.072
37 O 0.680 0.149 0.587
38 O 0.836 0.835 0.923
39 O 0.840 0.334 0.924
40 O 0.843 0.310 0.410
41 O 0.843 0.841 0.410
42 O 0.974 0.512 0.741
43 O 0.998 0.997 0.726

Largest 10 diffraction maxima, by angle, 10° ≤ 2θ ≤ 90°:
2θ 28.8, d = 3.101 Å, I 27.4, (1 0 4); 2θ 29.5, d = 3.027 Å, I 71.6, (1 -1 0); 2θ 34.1, d = 2.633 Å, I 36.1, (0 1 -5); 2θ 34.2, d = 2.619 Å, I 29.4, (1 2 3); 2θ 34.3, d = 2.616 Å, I 26.5, (2 1 3); 2θ 34.4, d = 2.605 Å, I 54.9, (1 -1 3); 2θ 34.7, d = 2.586 Å, I 100.0, (2 1 -3); 2θ 41.9, d = 2.155 Å, I 35.2, (2 0 -4); 2θ 59.6, d = 1.551 Å, I 41.4, (2 0 8); 2θ 61.2, d = 1.515 Å, I 48.1, (2 -2 0)

***

# 4
Theoretical X-ray diffraction stick pattern
Compound: RbTmW2O8
Radiation: a wavelength of 1.5418 Å
Structure: a structure optimized by DFT (GGA+U)
Intensities are scaled so that the largest is 100.

Atomic structure:
Unit cell a=9.042 b=10.367 c=8.029 alpha=90.00 beta=99.25 gamma=90.00
Space group P2_1/c (No. 14)
Asymmetric unit:
1 Rb 0.012 0.213 0.073
2 Tm 0.440 0.223 0.979
3 W 0.280 0.510 0.213
4 W 0.338 0.511 0.821
5 O 0.105 0.587 0.150
6 O 0.170 0.587 0.732
7 O 0.232 0.131 0.835
8 O 0.275 0.104 0.497
9 O 0.347 0.137 0.195
10 O 0.367 0.615 0.387
11 O 0.410 0.602 0.049
12 O 0.491 0.611 0.744

Largest 10 diffraction maxima, by angle, 10° ≤ 2θ ≤ 90°:
2θ 26.4, d = 3.382 Å, I 100.0, (2 2 0); 2θ 27.6, d = 3.231 Å, I 69.3, (2 0 -2); 2θ 28.2, d = 3.168 Å, I 28.5, (0 3 1); 2θ 28.4, d = 3.148 Å, I 96.9, (0 2 2); 2θ 31.3, d = 2.857 Å, I 19.0, (1 2 2); 2θ 34.6, d = 2.591 Å, I 30.8, (0 4 0); 2θ 34.8, d = 2.579 Å, I 20.3, (3 2 0); 2θ 35.1, d = 2.560 Å, I 19.4, (0 1 3); 2θ 44.8, d = 2.022 Å, I 25.6, (2 4 -2); 2θ 50.5, d = 1.807 Å, I 22.4, (3 1 3)